No. 1
This entry pairs a crystal structure of Cu12Te with its calculated powder XRD pattern. Radiation: λ = 1.5418 Å (Cu Kα). Structure: the PBE geometry in OQMD.

The 12 most intense peaks (2θ = 10–90°), sorted by position:
| 2θ/deg | I (rel.) |
| --- | --- |
| 10.80 | 28 |
| 40.90 | 16 |
| 41.92 | 100 |
| 43.35 | 92 |
| 43.61 | 57 |
| 44.06 | 75 |
| 44.22 | 17 |
| 48.98 | 62 |
| 50.19 | 59 |
| 51.88 | 32 |
| 74.38 | 16 |
| 87.42 | 19 |

Structure:
```
26
Lattice="6.1688 0.0000 0.0000 0.0000 2.6565 0.0000 -0.7972 0.0000 32.7710" Properties=species:S:1:pos:R:3 pbc="T T T"
Cu 6.1409 0.6641 1.0811
Cu -0.7693 1.9924 31.6899
Cu -0.1232 0.6641 5.3743
Cu -0.0755 1.9924 3.2410
Cu -0.1761 1.9924 7.5480
Cu 1.7797 0.6641 8.2890
Cu 1.8807 1.9924 6.1067
Cu 1.4117 1.9924 25.9984
Cu 1.3175 1.9924 30.2495
Cu 1.9629 0.6641 3.9629
Cu 1.2700 0.6641 32.4127
Cu 2.0142 1.9924 1.8069
Cu 1.3814 0.6641 28.1086
Cu 3.9902 1.9924 4.6624
Cu 3.3574 0.6641 30.9641
Cu 4.1016 1.9924 0.3583
Cu 3.4087 1.9924 28.8081
Cu 4.0541 0.6641 2.5215
Cu 3.9600 0.6641 6.7726
Cu 3.4909 0.6641 26.6643
Cu 3.5919 1.9924 24.4820
Cu 5.5477 0.6641 25.2230
Cu 5.4472 0.6641 29.5300
Cu 5.4948 1.9924 27.3967
Te 1.4391 0.6641 23.4207
Te 3.9325 1.9924 9.3504
```

---

No. 2
This entry pairs a crystal structure of Nb4C3 with its calculated powder XRD pattern. Radiation: λ = 1.5418 Å (Cu Kα). Structure: the PBE geometry in OQMD.

The 12 most intense peaks (2θ = 10–90°), sorted by position:
| 2θ/deg | I (rel.) |
| --- | --- |
| 31.35 | 46 |
| 36.35 | 100 |
| 40.82 | 97 |
| 48.74 | 42 |
| 52.35 | 5 |
| 62.30 | 22 |
| 65.41 | 14 |
| 68.44 | 52 |
| 74.32 | 26 |
| 80.04 | 4 |
| 85.67 | 12 |
| 88.46 | 3 |

Structure:
```
14
Lattice="-3.4950 3.4950 3.4950 3.4950 -3.4950 3.4950 3.4950 3.4950 -3.4950" Properties=species:S:1:pos:R:3 pbc="T T T"
Nb 3.1436 0.3514 -0.3514
Nb 4.8911 -1.3961 1.3961
Nb 0.3514 0.3514 0.3514
Nb 0.3514 -0.3514 3.1436
Nb -0.3514 3.1436 0.3514
Nb 1.3961 4.8911 -1.3961
Nb 2.0989 2.0989 2.0989
Nb -1.3961 1.3961 4.8911
C 5.2425 0.8738 0.0000
C 2.6213 0.0000 1.7475
C 1.7475 2.6213 0.0000
C 0.0000 1.7475 2.6213
C 0.8738 0.0000 5.2425
C 0.0000 5.2425 0.8738
```

---

No. 3
This entry pairs a crystal structure of Cs4PtC6S2N4O6F6 with its calculated powder XRD pattern. Radiation: λ = 1.5418 Å (Cu Kα). Structure: the PBE geometry in OQMD.

The 12 most intense peaks (2θ = 10–90°), sorted by position:
| 2θ/deg | I (rel.) |
| --- | --- |
| 14.99 | 27 |
| 21.01 | 25 |
| 21.27 | 60 |
| 23.09 | 100 |
| 24.29 | 57 |
| 25.00 | 39 |
| 27.84 | 29 |
| 31.06 | 42 |
| 34.63 | 26 |
| 37.95 | 27 |
| 39.81 | 43 |
| 42.02 | 29 |

Structure:
```
58
Lattice="-9.3427 9.3427 2.8792 9.3427 -9.3427 2.8792 9.3427 9.3427 -2.8792" Properties=species:S:1:pos:R:3 pbc="T T T"
Cs 4.4571 0.8355 0.0000
Cs 8.5072 -4.8856 2.8792
Cs 6.7079 5.4733 0.0000
Cs 3.8695 -2.6349 2.8792
Cs 5.4733 11.9776 0.0000
Cs 2.6349 3.8695 2.8792
Cs 0.8355 14.2284 0.0000
Cs 4.8856 8.5072 2.8792
Pt 0.0000 0.0000 0.0000
Pt 0.0000 0.0000 2.8792
C 17.0727 1.1607 0.0000
C 1.1607 1.6127 0.0000
C 10.6066 2.2880 0.0000
C 9.6850 7.3842 0.0000
C 2.2880 8.0788 0.0000
C 7.3842 9.0004 0.0000
C 1.9585 0.3423 2.8792
C 7.0547 1.2639 2.8792
C -0.3423 1.9585 2.8792
C -1.2639 7.0547 2.8792
C 8.1821 7.7300 2.8792
C -7.7300 8.1821 2.8792
S 12.3258 3.0041 0.0000
S 3.0041 6.3596 0.0000
S 6.3386 2.9831 2.8792
S -2.9831 6.3386 2.8792
N 16.1391 1.8769 0.0000
N 1.8769 2.5463 0.0000
N 9.8867 6.2246 0.0000
N 6.2246 8.7988 0.0000
N 3.1182 0.5440 2.8792
N -0.5440 3.1182 2.8792
N 7.4658 6.7964 2.8792
N -6.7964 7.4658 2.8792
O 6.2826 -3.7916 1.2269
O 13.1442 1.8041 0.0000
O 13.1343 -3.0601 1.6523
O 1.8041 5.5412 0.0000
O 12.4028 3.7916 1.2269
O 5.5512 3.0601 1.6523
O 3.7916 6.2826 1.2269
O -3.0601 5.5512 1.6523
O 7.5386 3.8015 2.8792
O -3.7916 12.4028 1.2269
O -3.8015 7.5386 2.8792
O 3.0601 13.1343 1.6523
F 8.2594 -1.5269 1.1019
F 9.6440 3.2540 0.0000
F 10.8697 -1.0833 1.7773
F 10.4261 1.5269 1.1019
F 7.8158 1.0833 1.7773
F 3.2540 9.0414 0.0000
F 6.0887 0.3013 2.8792
F 1.5269 8.2594 1.1019
F -1.0833 7.8158 1.7773
F -1.5269 10.4261 1.1019
F -0.3013 6.0887 2.8792
F 1.0833 10.8697 1.7773
```

---

No. 4
This entry pairs a crystal structure of YErZr2Ge2 with its calculated powder XRD pattern. Radiation: λ = 1.5418 Å (Cu Kα). Structure: the PBE geometry in OQMD.

The 12 most intense peaks (2θ = 10–90°), sorted by position:
| 2θ/deg | I (rel.) |
| --- | --- |
| 30.18 | 23 |
| 31.12 | 40 |
| 32.28 | 100 |
| 34.04 | 39 |
| 37.97 | 93 |
| 40.46 | 22 |
| 43.21 | 62 |
| 56.11 | 37 |
| 62.80 | 38 |
| 72.35 | 19 |
| 75.75 | 27 |
| 79.33 | 18 |

Structure:
```
6
Lattice="4.1877 0.0000 0.0000 0.0000 4.1877 0.0000 0.0000 0.0000 7.9014" Properties=species:S:1:pos:R:3 pbc="T T T"
Y 0.0000 0.0000 0.0000
Er 2.0939 2.0939 2.3970
Zr 0.0000 2.0939 5.1300
Zr 2.0939 0.0000 5.1300
Ge 0.0000 0.0000 3.0386
Ge 2.0939 2.0939 7.2277
```

---

No. 5
This entry pairs a crystal structure of Ta3W10 with its calculated powder XRD pattern. Radiation: λ = 1.5418 Å (Cu Kα). Structure: the PBE geometry in OQMD.

The 12 most intense peaks (2θ = 10–90°), sorted by position:
| 2θ/deg | I (rel.) |
| --- | --- |
| 34.25 | 47 |
| 37.54 | 43 |
| 38.28 | 26 |
| 39.39 | 100 |
| 39.89 | 48 |
| 40.40 | 63 |
| 42.99 | 57 |
| 45.92 | 24 |
| 64.79 | 24 |
| 65.50 | 31 |
| 70.29 | 22 |
| 72.16 | 38 |

Structure:
```
13
Lattice="2.6181 1.5115 9.4051 -2.6181 1.5115 9.4051 0.0000 -3.0231 9.4051" Properties=species:S:1:pos:R:3 pbc="T T T"
Ta 0.0000 0.0000 0.0000
Ta 0.0000 0.0000 12.7838
Ta 0.0000 0.0000 15.4314
W 0.0000 -1.4950 7.1978
W -1.2947 0.7475 7.1978
W 0.0000 0.0000 4.7401
W 0.0000 0.0000 9.8669
W -1.2947 -0.7475 21.0174
W 1.2947 0.7475 7.1978
W 0.0000 0.0000 18.3483
W 0.0000 0.0000 23.4751
W 1.2947 -0.7475 21.0174
W 0.0000 1.4950 21.0174
```